Simulated powder diffraction line list of Mn7Si3O14 for CuKα, from a GGA+U-relaxed structure.

Cell and atoms:
```
Mn7Si3O14
1.0
10.6171 0.0000 0.0000
0.0000 4.9041 0.0000
-2.7676 0.0000 10.9578
Mn Si O
14 6 28
direct
0.0681 0.0000 0.1459 Mn
0.0769 0.4708 0.4256 Mn
0.1723 0.4807 0.7007 Mn
0.2528 0.4827 0.9968 Mn
0.3284 0.4902 0.2952 Mn
0.4088 0.5028 0.5915 Mn
0.4272 0.9515 0.8478 Mn
0.5728 0.4515 0.1522 Mn
0.5912 0.0028 0.4085 Mn
0.6716 0.9902 0.7048 Mn
0.7472 0.9827 0.0032 Mn
0.8277 0.9807 0.2993 Mn
0.9231 0.9708 0.5744 Mn
0.9319 0.5000 0.8541 Mn
0.1187 0.0580 0.8517 Si
0.2707 0.0664 0.4419 Si
0.3837 0.9054 0.1426 Si
0.6163 0.4054 0.8574 Si
0.7293 0.5664 0.5581 Si
0.8813 0.5580 0.1483 Si
0.0226 0.2074 0.7305 O
0.0566 0.6758 0.5687 O
0.0830 0.1967 0.9726 O
0.1163 0.7271 0.8522 O
0.1711 0.2082 0.3168 O
0.2323 0.2294 0.5546 O
0.2390 0.7694 0.1437 O
0.2600 0.2039 0.8454 O
0.2711 0.7341 0.4371 O
0.3308 0.6846 0.7174 O
0.3816 0.2377 0.1459 O
0.4167 0.1998 0.4411 O
0.4195 0.7671 0.0217 O
0.4814 0.7557 0.2622 O
0.5186 0.2557 0.7378 O
0.5805 0.2671 0.9783 O
0.5833 0.6998 0.5589 O
0.6184 0.7377 0.8541 O
0.6692 0.1846 0.2826 O
0.7289 0.2341 0.5629 O
0.7400 0.7039 0.1546 O
0.7610 0.2694 0.8563 O
0.7677 0.7294 0.4454 O
0.8289 0.7082 0.6832 O
0.8837 0.2271 0.1478 O
0.9170 0.6967 0.0274 O
0.9434 0.1758 0.4313 O
0.9774 0.7074 0.2695 O
```

Principal peaks in the range 15 to 90 degrees two-theta, sorted by position:
hkl 1 1 0, 20.1°, intensity 27
hkl 3 1 -1, 31.2°, intensity 95
hkl 1 1 3, 33.4°, intensity 100
hkl 3 1 1, 34.5°, intensity 29
hkl 0 2 0, 36.7°, intensity 43
hkl 2 2 -4, 50.2°, intensity 45
hkl 2 2 3, 50.4°, intensity 38
hkl 4 2 -1, 50.7°, intensity 32